The following is a computed powder XRD pattern of Hf2TlTc. It was derived from a cell relaxed with PBE, using Cu Ka.

Crystal structure
```
data_Hf2TlTc
_cell_length_a 3.303
_cell_length_b 3.303
_cell_length_c 7.392
_cell_angle_alpha 90.00
_cell_angle_beta 90.00
_cell_angle_gamma 90.00
_symmetry_space_group_name_H-M 'P 4/m m m'
_symmetry_Int_Tables_number 123
_symmetry_space_group_name_Hall '-P 4 2'
loop_
_atom_site_label
_atom_site_type_symbol
_atom_site_fract_x
_atom_site_fract_y
_atom_site_fract_z
Hf1 Hf 0.000 0.000 0.211
Tl1 Tl 0.500 0.500 0.500
Tc1 Tc 0.500 0.500 0.000
```

Top 8 peaks for 10 to 90 degrees two-theta, by angle:
2theta	d (Å)	I_rel	(hkl)
29.62	3.015	14	1 0 1
36.48	2.463	100	1 0 2
38.55	2.335	46	1 1 0
54.11	1.695	9	1 1 3
55.66	1.651	16	2 0 0
64.29	1.449	15	1 1 4
68.40	1.372	35	2 1 2
77.52	1.231	7	2 0 4

***

The following is a computed powder XRD pattern of HfTc2W2. It was derived from a cell relaxed with PBE, using Cu Ka.

Crystal structure
```
data_HfTc2W2
_cell_length_a 3.106
_cell_length_b 17.368
_cell_length_c 3.150
_cell_angle_alpha 90.00
_cell_angle_beta 90.00
_cell_angle_gamma 90.00
_symmetry_space_group_name_H-M 'C m m m'
_symmetry_Int_Tables_number 65
_symmetry_space_group_name_Hall '-C 2 2'
loop_
_atom_site_label
_atom_site_type_symbol
_atom_site_fract_x
_atom_site_fract_y
_atom_site_fract_z
Hf1 Hf 0.000 0.000 0.000
Tc1 Tc 0.000 0.400 0.500
W1 W 0.000 0.187 0.000
```

Top 8 peaks for 10 to 90 degrees two-theta, by angle:
2theta	d (Å)	I_rel	(hkl)
28.33	3.150	26	0 0 1
35.20	2.550	29	0 4 1
38.89	2.315	100	1 5 0
41.14	2.194	78	1 1 1
42.41	2.132	57	0 6 1
72.59	1.302	32	1 5 2
73.73	1.285	29	1 11 1
75.78	1.255	21	2 6 1

***

The following is a computed powder XRD pattern of Hf4ZnTc2. It was derived from a cell relaxed with PBE, using Cu Ka.

Crystal structure
```
data_Hf4ZnTc2
_cell_length_a 4.554
_cell_length_b 4.554
_cell_length_c 6.608
_cell_angle_alpha 90.00
_cell_angle_beta 90.00
_cell_angle_gamma 90.00
_symmetry_space_group_name_H-M 'P 4/m m m'
_symmetry_Int_Tables_number 123
_symmetry_space_group_name_Hall '-P 4 2'
loop_
_atom_site_label
_atom_site_type_symbol
_atom_site_fract_x
_atom_site_fract_y
_atom_site_fract_z
Hf1 Hf 0.000 0.500 0.242
Zn1 Zn 0.000 0.000 0.500
Tc1 Tc 0.000 0.000 0.000
Tc2 Tc 0.500 0.500 0.500
```

Top 8 peaks for 10 to 90 degrees two-theta, by angle:
2theta	d (Å)	I_rel	(hkl)
26.99	3.304	13	0 0 2
27.70	3.220	24	1 1 0
39.06	2.306	100	1 1 2
39.58	2.277	49	2 0 0
57.21	1.610	17	2 2 0
70.41	1.337	17	2 0 4
71.45	1.320	34	3 1 2
83.91	1.153	11	2 2 4